[1]
The following is a computed X-ray powder pattern of Zr2P3H4NO12. It was derived from a GGA-PBE-relaxed structure, using CuKα.
Peak positions follow from Bragg's law for the DFT cell and can differ from measured ones.

The 12 most intense peaks (2θ from 10° to 80°), by angle:
2θ/deg, intensity, hkl
13.64, 53, 0 1 2
18.48, 61, 1 0 4
20.16, 79, 1 1 0
22.89, 78, 1 1 3
27.48, 53, 0 2 4
29.69, 100, 1 1 6
35.29, 29, 3 0 0
46.77, 31, 2 2 6
48.51, 30, 2 1 10
55.16, 22, 4 1 0
57.32, 18, 1 3 10
57.56, 16, 2 0 14

Crystal structure
Cell: 8.8110 8.8110 24.7106 Å, 90.00 90.00 120.00°
Space group R3c (No. 161, hexagonal axes)
Inequivalent atoms, fractional coordinates:
Zr 0.0000 0.0000 0.0000 [6 per cell]
Zr 0.0000 0.0000 0.1981 [6 per cell]
P 0.0023 0.2863 0.0986 [18 per cell]
H 0.0000 0.0000 0.3856 [6 per cell]
H 0.0599 0.1257 0.3289 [18 per cell]
N 0.0000 0.0000 0.3441 [6 per cell]
O 0.0269 0.2030 0.7498 [18 per cell]
O 0.0533 0.2135 0.0496 [18 per cell]
O 0.1594 0.4664 0.1141 [18 per cell]
O 0.1701 0.4533 0.8150 [18 per cell]

[2]
The following is a computed X-ray powder pattern of RbH4SNO4. It was derived from a GGA-PBE-relaxed structure, using CuKα.
Peak positions follow from Bragg's law for the DFT cell and can differ from measured ones.

The 12 most intense peaks (2θ from 10° to 80°), by angle:
2θ/deg, intensity, hkl
16.38, 100, 0 1 1
22.92, 50, 2 0 0
27.07, 30, 2 1 0
28.30, 45, 2 0 2
28.52, 98, 0 1 3
28.66, 61, 0 2 0
33.00, 31, 0 0 4
35.17, 45, 1 2 2
35.68, 26, 3 0 1
37.96, 27, 2 2 1
41.29, 30, 3 1 2
44.94, 25, 2 2 3

Crystal structure
Cell: 7.760 6.230 10.859 Å, 90.00 90.00 90.00°
Space group Pnma (No. 62)
Inequivalent atoms, fractional coordinates:
Rb 0.177 0.250 0.105 [4 per cell]
H 0.034 0.750 0.209 [4 per cell]
H 0.070 0.250 0.652 [4 per cell]
H 0.122 0.616 0.328 [8 per cell]
S 0.226 0.250 0.432 [4 per cell]
N 0.049 0.750 0.302 [4 per cell]
O 0.039 0.250 0.408 [4 per cell]
O 0.194 0.553 0.876 [8 per cell]
O 0.237 0.750 0.068 [4 per cell]

[3]
The following is a computed X-ray powder pattern of ReH4NO4. It was derived from a GGA-PBE-relaxed structure, using CuKα.
Peak positions follow from Bragg's law for the DFT cell and can differ from measured ones.

The 12 most intense peaks (2θ from 10° to 80°), by angle:
2θ/deg, intensity, hkl
15.92, 100, 1 0 1
24.84, 90, 1 1 2
26.06, 30, 1 0 3
28.57, 23, 2 0 0
32.87, 28, 1 2 1
39.05, 15, 2 1 3
41.26, 23, 2 0 4
48.39, 23, 1 3 2
49.12, 16, 1 1 6
49.46, 12, 1 2 5
50.95, 12, 2 2 4
65.73, 18, 3 1 6

Crystal structure
Cell: 6.250 6.250 12.257 Å, 90.00 90.00 90.00°
Space group I4_1/a (No. 88, origin choice 2)
Inequivalent atoms, fractional coordinates:
Re 0.000 0.250 0.125 [4 per cell]
H 0.044 0.123 0.675 [16 per cell]
N 0.000 0.250 0.625 [4 per cell]
O 0.112 0.451 0.207 [16 per cell]